Entry 1:
Diffraction record for CoGe2S. The powder XRD pattern is calculated, not measured: it uses DFT lattice parameters and positions (PBE) and Cu Kα, 1.54184 Å.
Peak positions follow from Bragg's law for the DFT cell and can differ from measured ones.

Main lines, sorted by position (5 to 70 degrees two-theta):
hkl 0 0 2, 18.7°, I = 92; hkl 1 1 -3, 30.8°, I = 37; hkl 0 2 0, 34.6°, I = 41; hkl 1 1 2, 36.2°, I = 86; hkl 2 1 -2, 36.6°, I = 35; hkl 1 1 -4, 37.8°, I = 58; hkl 0 2 2, 39.6°, I = 56; hkl 2 2 -2, 47.9°, I = 100; hkl 2 0 2, 48.9°, I = 45; hkl 0 2 4, 52.3°, I = 49

Structural model:
abc: 5.588 5.189 10.727
angles: 90.00 117.89 90.00
Space group P2_1/c (No. 14)
Unique sites:
Co (0.120, 0.017, 0.355) [4 per cell]
Ge (0.069, 0.737, 0.526) [4 per cell]
Ge (0.493, 0.240, 0.048) [4 per cell]
S (0.254, 0.218, 0.743) [4 per cell]

=====

Entry 2:
Diffraction record for U2InBr8. The powder XRD pattern is calculated, not measured: it uses DFT lattice parameters and positions (PBE) and Cu Kα, 1.54184 Å.
Peak positions follow from Bragg's law for the DFT cell and can differ from measured ones.

Main lines, sorted by position (5 to 70 degrees two-theta):
hkl 1 1 0, 17.9°, I = 100; hkl 0 1 1, 18.5°, I = 99; hkl 2 0 0, 20.7°, I = 42; hkl 0 0 2, 31.0°, I = 27; hkl 3 0 0, 31.2°, I = 25; hkl 3 -2 1, 31.6°, I = 42; hkl 2 2 0, 36.2°, I = 78; hkl 2 0 2, 37.5°, I = 44; hkl 3 1 1, 40.9°, I = 26; hkl 2 2 2, 48.4°, I = 53

Structural model:
abc: 9.9270 9.9270 5.7765
angles: 90.00 90.00 120.00
Space group P-3 (No. 147)
Unique sites:
U (0.3333, 0.6667, 0.2418) [2 per cell]
In (0.0000, 0.0000, 0.0000) [1 per cell]
Br (0.1743, 0.3504, 0.2585) [6 per cell]
Br (0.3333, 0.6667, 0.7505) [2 per cell]

=====

Entry 3:
Diffraction record for SrMgRe2. The powder XRD pattern is calculated, not measured: it uses DFT lattice parameters and positions (PBE) and Cu Kα, 1.54184 Å.
Peak positions follow from Bragg's law for the DFT cell and can differ from measured ones.

Main lines, sorted by position (5 to 70 degrees two-theta):
hkl 0 0 2, 18.6°, I = 25; hkl 0 1 1, 19.9°, I = 80; hkl 1 1 2, 35.3°, I = 100; hkl 0 2 0, 35.5°, I = 33; hkl 1 0 3, 37.1°, I = 27; hkl 2 0 0, 48.7°, I = 34; hkl 1 2 3, 52.3°, I = 20; hkl 2 1 1, 53.1°, I = 12; hkl 2 2 0, 61.8°, I = 13; hkl 1 3 2, 63.7°, I = 18

Structural model:
abc: 3.737 5.051 9.549
angles: 90.00 90.00 90.00
Space group Imm2 (No. 44)
Unique sites:
Sr (0.000, 0.000, 0.000) [2 per cell]
Mg (0.000, 0.500, 0.777) [2 per cell]
Re (0.000, 0.000, 0.570) [2 per cell]
Re (0.000, 0.500, 0.226) [2 per cell]

=====

Entry 4:
Diffraction record for Na2SiTeSe4. The powder XRD pattern is calculated, not measured: it uses DFT lattice parameters and positions (PBE) and Cu Kα, 1.54184 Å.
Peak positions follow from Bragg's law for the DFT cell and can differ from measured ones.

Main lines, sorted by position (5 to 70 degrees two-theta):
hkl 0 0 1, 14.5°, I = 57; hkl -1 1 1, 23.8°, I = 100; hkl 1 1 0, 26.0°, I = 31; hkl 0 1 -2, 26.9°, I = 26; hkl 1 -2 1, 29.2°, I = 56; hkl 2 0 0, 32.4°, I = 28; hkl 1 1 1, 35.1°, I = 34; hkl 1 -2 2, 35.8°, I = 25; hkl 0 2 1, 39.6°, I = 26; hkl 2 -3 0, 46.8°, I = 23

Structural model:
abc: 6.037 6.563 6.828
angles: 109.45 101.17 105.46
Space group P1 (No. 1)
Unique sites:
Na (0.000, 0.000, 0.000) [1 per cell]
Na (0.458, 0.427, 0.833) [1 per cell]
Si (0.641, 0.060, 0.538) [1 per cell]
Te (0.931, 0.601, 0.515) [1 per cell]
Se (0.424, 0.908, 0.732) [1 per cell]
Se (0.459, 0.250, 0.374) [1 per cell]
Se (0.751, 0.807, 0.279) [1 per cell]
Se (0.960, 0.349, 0.823) [1 per cell]

=====

Entry 5:
Diffraction record for BaCa3. The powder XRD pattern is calculated, not measured: it uses DFT lattice parameters and positions (PBE) and Cu Kα, 1.54184 Å.
Peak positions follow from Bragg's law for the DFT cell and can differ from measured ones.

Main lines, sorted by position (5 to 70 degrees two-theta):
hkl 1 0 1, 17.0°, I = 24; hkl 1 1 0, 19.6°, I = 13; hkl 2 0 0, 27.9°, I = 100; hkl 2 1 1, 32.9°, I = 15; hkl 2 2 0, 39.9°, I = 18; hkl 3 0 1, 43.6°, I = 7; hkl 3 1 0, 44.8°, I = 7; hkl 3 1 2, 49.4°, I = 38; hkl 4 0 0, 57.7°, I = 12; hkl 4 2 0, 65.2°, I = 11

Structural model:
abc: 6.398 6.398 9.030
angles: 90.00 90.00 90.00
Space group I4/mmm (No. 139)
Unique sites:
Ba (0.000, 0.000, 0.000) [2 per cell]
Ca (0.000, 0.000, 0.500) [2 per cell]
Ca (0.000, 0.500, 0.250) [4 per cell]

=====

Entry 6:
Diffraction record for ErTl2Te2O6. The powder XRD pattern is calculated, not measured: it uses DFT lattice parameters and positions (PBE) and Cu Kα, 1.54184 Å.
Peak positions follow from Bragg's law for the DFT cell and can differ from measured ones.

Main lines, sorted by position (5 to 70 degrees two-theta):
hkl 0 2 0, 25.4°, I = 42; hkl 2 0 1, 28.2°, I = 29; hkl 1 1 -2, 30.3°, I = 100; hkl 3 1 0, 31.9°, I = 9; hkl 2 2 1, 38.4°, I = 22; hkl 1 3 -2, 48.0°, I = 38; hkl 1 1 3, 51.2°, I = 9; hkl 0 4 0, 52.2°, I = 10; hkl 4 2 -3, 55.1°, I = 8; hkl 2 4 1, 60.4°, I = 7

Structural model:
abc: 9.854 7.004 6.517
angles: 90.00 111.12 90.00
Space group C2/m (No. 12)
Unique sites:
Er (0.000, 0.000, 0.000) [2 per cell]
Tl (0.185, 0.000, 0.611) [4 per cell]
Te (0.053, 0.500, 0.755) [4 per cell]
O (0.033, 0.212, 0.766) [8 per cell]
O (0.246, 0.000, 0.190) [4 per cell]

=====

Entry 7:
Diffraction record for Ba3Au. The powder XRD pattern is calculated, not measured: it uses DFT lattice parameters and positions (PBE) and Cu Kα, 1.54184 Å.
Peak positions follow from Bragg's law for the DFT cell and can differ from measured ones.

Main lines, sorted by position (5 to 70 degrees two-theta):
hkl 0 2 0, 15.1°, I = 37; hkl 1 1 1, 17.2°, I = 37; hkl 2 1 1, 24.9°, I = 39; hkl 0 3 1, 25.6°, I = 96; hkl 1 1 2, 26.6°, I = 100; hkl 1 3 1, 27.7°, I = 84; hkl 2 2 1, 28.2°, I = 79; hkl 2 3 0, 30.9°, I = 58; hkl 2 1 2, 32.2°, I = 45; hkl 4 0 1, 43.7°, I = 37

Structural model:
abc: 8.606 11.706 7.669
angles: 90.00 90.00 90.00
Space group Pnma (No. 62)
Unique sites:
Ba (0.044, 0.250, 0.159) [4 per cell]
Ba (0.175, 0.072, 0.674) [8 per cell]
Au (0.120, 0.750, 0.438) [4 per cell]

=====

Entry 8:
Diffraction record for Rb2NaI3. The powder XRD pattern is calculated, not measured: it uses DFT lattice parameters and positions (PBE) and Cu Kα, 1.54184 Å.
Peak positions follow from Bragg's law for the DFT cell and can differ from measured ones.

Main lines, sorted by position (5 to 70 degrees two-theta):
hkl 0 2 0, 24.4°, I = 57; hkl 1 0 3, 25.0°, I = 100; hkl 0 0 6, 35.0°, I = 17; hkl 1 2 3, 35.2°, I = 81; hkl 2 0 0, 36.3°, I = 20; hkl 0 2 6, 43.1°, I = 21; hkl 2 2 0, 44.3°, I = 23; hkl 1 4 3, 56.8°, I = 20; hkl 2 2 6, 57.6°, I = 15; hkl 3 2 3, 64.6°, I = 19

Structural model:
abc: 4.949 7.282 15.401
angles: 90.00 90.00 90.00
Space group Immm (No. 71)
Unique sites:
Rb (0.000, 0.000, 0.172) [4 per cell]
Na (0.000, 0.000, 0.500) [2 per cell]
I (0.000, 0.500, 0.146) [4 per cell]
I (0.000, 0.500, 0.500) [2 per cell]

=====

Entry 9:
Diffraction record for Cr2Te4Rh. The powder XRD pattern is calculated, not measured: it uses DFT lattice parameters and positions (PBE) and Cu Kα, 1.54184 Å.
Peak positions follow from Bragg's law for the DFT cell and can differ from measured ones.

Main lines, sorted by position (5 to 70 degrees two-theta):
hkl 1 1 1, 14.7°, I = 11; hkl 2 2 2, 29.7°, I = 100; hkl 4 0 0, 30.4°, I = 7; hkl 4 2 2, 40.1°, I = 50; hkl 0 6 2, 44.8°, I = 43; hkl 6 4 0, 53.6°, I = 18; hkl 2 4 4, 54.7°, I = 18; hkl 4 0 4, 55.2°, I = 8; hkl 4 8 0, 61.7°, I = 13; hkl 8 0 0, 63.3°, I = 5

Structural model:
abc: 11.748 14.004 8.083
angles: 90.00 90.00 90.00
Space group Fdd2 (No. 43)
Unique sites:
Cr (0.009, 0.242, 0.000) [16 per cell]
Te (0.120, 0.086, 0.497) [16 per cell]
Te (0.120, 0.330, 0.253) [16 per cell]
Rh (0.000, 0.000, 0.233) [8 per cell]

=====

Entry 10:
Diffraction record for PuAlPd. The powder XRD pattern is calculated, not measured: it uses DFT lattice parameters and positions (PBE) and Cu Kα, 1.54184 Å.
Peak positions follow from Bragg's law for the DFT cell and can differ from measured ones.

Main lines, sorted by position (5 to 70 degrees two-theta):
hkl 0 1 1, 19.8°, I = 66; hkl 2 0 0, 32.9°, I = 47; hkl 1 1 2, 33.1°, I = 100; hkl 1 2 1, 38.1°, I = 90; hkl 2 1 1, 38.7°, I = 48; hkl 1 0 3, 39.6°, I = 49; hkl 1 3 2, 57.7°, I = 21; hkl 3 1 2, 58.9°, I = 20; hkl 3 2 1, 62.2°, I = 22; hkl 2 2 4, 69.5°, I = 30

Structural model:
abc: 5.445 5.597 7.513
angles: 90.00 90.00 90.00
Space group Imma (No. 74)
Unique sites:
Pu (0.000, 0.250, 0.132) [4 per cell]
Al (0.250, 0.250, 0.750) [4 per cell]
Pd (0.000, 0.000, 0.500) [4 per cell]

=====

Entry 11:
Diffraction record for Mg8InPb3. The powder XRD pattern is calculated, not measured: it uses DFT lattice parameters and positions (PBE) and Cu Kα, 1.54184 Å.
Peak positions follow from Bragg's law for the DFT cell and can differ from measured ones.

Main lines, sorted by position (5 to 70 degrees two-theta):
hkl 2 0 0, 22.2°, I = 100; hkl 2 0 -2, 22.7°, I = 29; hkl 2 2 -1, 25.9°, I = 44; hkl 0 4 0, 36.5°, I = 17; hkl 2 2 1, 36.6°, I = 33; hkl 4 0 -2, 37.2°, I = 40; hkl 2 4 0, 43.1°, I = 12; hkl 2 4 -2, 43.4°, I = 21; hkl 4 2 -3, 44.1°, I = 13; hkl 4 4 -2, 53.2°, I = 14

Structural model:
abc: 9.650 9.856 8.323
angles: 90.00 124.14 90.00
Space group Cm (No. 8)
Unique sites:
Mg (0.000, 0.000, 0.000) [2 per cell]
Mg (0.004, 0.261, 0.528) [4 per cell]
Mg (0.235, 0.500, 0.538) [2 per cell]
Mg (0.248, 0.000, 0.501) [2 per cell]
Mg (0.257, 0.223, 0.996) [4 per cell]
Mg (0.343, 0.500, 0.253) [2 per cell]
In (0.103, 0.000, 0.727) [2 per cell]
Pb (0.113, 0.500, 0.806) [2 per cell]
Pb (0.126, 0.257, 0.255) [4 per cell]

=====

Entry 12:
Diffraction record for MoHS. The powder XRD pattern is calculated, not measured: it uses DFT lattice parameters and positions (PBE) and Cu Kα, 1.54184 Å.
Peak positions follow from Bragg's law for the DFT cell and can differ from measured ones.

Main lines, sorted by position (5 to 70 degrees two-theta):
hkl 0 2 0, 11.1°, I = 100; hkl 0 4 0, 22.2°, I = 8; hkl 1 3 1, 32.3°, I = 4; hkl 0 0 2, 34.7°, I = 5; hkl 2 2 0, 36.5°, I = 15; hkl 0 4 2, 41.6°, I = 18; hkl 2 0 -2, 42.4°, I = 5; hkl 2 2 -2, 43.9°, I = 6; hkl 1 7 -1, 45.0°, I = 3; hkl 2 6 0, 49.1°, I = 11

Structural model:
abc: 5.366 15.989 5.361
angles: 90.00 105.40 90.00
Space group C2/m (No. 12)
Unique sites:
Mo (0.250, 0.239, 0.250) [8 per cell]
H (0.011, 0.000, 0.934) [4 per cell]
H (0.021, 0.500, 0.573) [4 per cell]
S (0.000, 0.153, 0.500) [4 per cell]
S (0.000, 0.347, 0.000) [4 per cell]

=====

What did the sixth record say?
Diffraction record for ErTl2Te2O6. The powder XRD pattern is calculated, not measured: it uses DFT lattice parameters and positions (PBE) and Cu Kα, 1.54184 Å.
Peak positions follow from Bragg's law for the DFT cell and can differ from measured ones.

Main lines, sorted by position (5 to 70 degrees two-theta):
hkl 0 2 0, 25.4°, I = 42; hkl 2 0 1, 28.2°, I = 29; hkl 1 1 -2, 30.3°, I = 100; hkl 3 1 0, 31.9°, I = 9; hkl 2 2 1, 38.4°, I = 22; hkl 1 3 -2, 48.0°, I = 38; hkl 1 1 3, 51.2°, I = 9; hkl 0 4 0, 52.2°, I = 10; hkl 4 2 -3, 55.1°, I = 8; hkl 2 4 1, 60.4°, I = 7

Structural model:
abc: 9.854 7.004 6.517
angles: 90.00 111.12 90.00
Space group C2/m (No. 12)
Unique sites:
Er (0.000, 0.000, 0.000) [2 per cell]
Tl (0.185, 0.000, 0.611) [4 per cell]
Te (0.053, 0.500, 0.755) [4 per cell]
O (0.033, 0.212, 0.766) [8 per cell]
O (0.246, 0.000, 0.190) [4 per cell]